Entry 1:
# CsLiRe2O8
Theoretical X-ray diffraction stick pattern, a wavelength of 1.5418 Å. Input: a cell relaxed with PBE.

```
CsLiRe2O8
1.0
5.895 0.000 0.000
-2.948 5.106 0.000
0.000 0.000 8.137
Cs Li Re O
1 1 2 8
Cartesian
0.000 0.000 0.000
0.000 0.000 4.068
0.000 3.404 5.898
2.948 1.702 2.239
-1.456 4.210 5.344
0.030 1.740 5.344
0.000 3.404 7.654
1.522 0.844 2.793
1.426 4.261 5.344
2.948 1.702 0.483
2.918 3.366 2.793
4.403 0.896 2.793
```

Largest 10 diffraction maxima, in order of falling intensity, 5 to 70 degrees two-theta:
2θ = 20.54°, rel. 100; 2θ = 30.32°, rel. 34; 2θ = 28.04°, rel. 32; 2θ = 48.48°, rel. 20; 2θ = 36.90°, rel. 15; 2θ = 41.77°, rel. 11; 2θ = 52.48°, rel. 11; 2θ = 54.83°, rel. 11; 2θ = 37.55°, rel. 10; 2θ = 67.09°, rel. 8

Entry 2:
# Na2HoCdPb2
Theoretical X-ray diffraction stick pattern, a wavelength of 1.5418 Å. Input: a cell relaxed with PBE.

```
Na2HoCdPb2
1.0
4.878 0.000 0.000
0.000 9.381 0.000
0.000 0.000 7.424
Na Ho Cd Pb
4 2 2 4
Cartesian
0.000 0.497 0.000
0.000 8.884 3.712
2.439 1.580 2.163
2.439 7.801 5.875
2.439 4.418 7.022
2.439 4.962 3.310
0.000 2.917 4.524
0.000 6.464 0.812
0.000 3.550 1.539
0.000 5.830 5.251
2.439 1.592 5.502
2.439 7.789 1.790
```

Largest 10 diffraction maxima, in order of falling intensity, 5 to 70 degrees two-theta:
2θ = 31.76°, rel. 100; 2θ = 9.43°, rel. 98; 2θ = 34.06°, rel. 84; 2θ = 23.80°, rel. 62; 2θ = 22.42°, rel. 49; 2θ = 36.85°, rel. 48; 2θ = 42.06°, rel. 41; 2θ = 30.25°, rel. 29; 2θ = 41.25°, rel. 25; 2θ = 30.72°, rel. 25

Entry 3:
# Pa3Ge2Sb2
Theoretical X-ray diffraction stick pattern, a wavelength of 1.5418 Å. Input: a cell relaxed with PBE.

```
Pa3Ge2Sb2
1.0
-1.977 2.361 9.330
1.977 -2.361 9.330
1.977 2.361 -9.330
Pa Ge Sb
3 2 2
Cartesian
0.000 0.000 0.000
1.977 0.000 5.963
0.000 2.361 3.367
0.000 0.000 8.143
0.000 0.000 10.517
1.977 0.000 2.867
0.000 2.361 6.463
```

Largest 10 diffraction maxima, in order of falling intensity, 5 to 70 degrees two-theta:
2θ = 31.02°, rel. 100; 2θ = 33.00°, rel. 34; 2θ = 35.31°, rel. 33; 2θ = 38.12°, rel. 33; 2θ = 28.70°, rel. 32; 2θ = 23.66°, rel. 26; 2θ = 41.60°, rel. 22; 2θ = 38.79°, rel. 21; 2θ = 51.29°, rel. 20; 2θ = 45.90°, rel. 20

Entry 4:
# LiCuH4O4
Theoretical X-ray diffraction stick pattern, a wavelength of 1.5418 Å. Input: a cell relaxed with PBE.

```
LiCuH4O4
1.0
5.203 0.000 0.000
0.000 7.787 0.000
0.000 0.000 9.035
Li Cu H O
4 4 16 16
Cartesian
0.894 0.883 0.000
1.708 4.777 4.518
3.495 3.010 0.000
4.309 6.904 4.518
1.066 3.880 7.172
1.535 7.773 2.655
3.667 0.014 7.172
4.137 3.907 2.655
0.214 6.248 6.667
0.312 4.269 0.723
0.357 5.612 2.533
0.582 1.270 4.413
2.019 5.164 8.930
2.244 1.718 7.050
2.289 0.376 5.241
2.388 2.355 2.149
2.815 5.432 6.667
2.914 7.411 0.723
2.959 6.068 2.533
3.183 2.623 4.413
4.621 6.517 8.930
4.846 2.175 7.050
4.890 3.517 5.241
4.989 1.538 2.149
0.004 2.542 7.885
0.627 3.272 5.487
0.744 1.475 1.916
0.807 0.318 4.325
1.794 4.211 8.842
1.857 5.368 6.434
1.975 7.165 0.969
2.597 6.435 3.367
2.606 1.352 7.885
3.228 0.622 5.487
3.345 2.419 1.916
3.409 3.576 4.325
4.396 7.469 8.842
4.459 6.312 6.434
4.576 4.515 0.969
5.198 5.245 3.367
```

Largest 10 diffraction maxima, in order of falling intensity, 5 to 70 degrees two-theta:
2θ = 22.80°, rel. 100; 2θ = 19.65°, rel. 16; 2θ = 46.52°, rel. 13; 2θ = 40.08°, rel. 12; 2θ = 36.36°, rel. 10; 2θ = 30.32°, rel. 9; 2θ = 41.75°, rel. 8; 2θ = 55.08°, rel. 7; 2θ = 63.14°, rel. 7; 2θ = 43.00°, rel. 6